# TlP2PbBrO
Computed X-ray diffraction stick pattern, Cu Kα. Input: DFT lattice parameters and positions (GGA-PBE).
Kinematic intensities with the Lorentz-polarization factor, no thermal factor.

Crystal structure
```
TlP2PbBrO
1.0
4.717 -1.785 0.000
4.717 1.785 0.000
-4.230 0.000 9.395
Tl P Pb Br O
1 2 1 1 1
direct
0.000 0.000 0.000
0.077 0.077 0.675
0.648 0.648 0.828
0.211 0.211 0.461
0.431 0.431 0.277
0.891 0.891 0.598
```

Main lines, in order of falling intensity (2θ = 10–90°):
18.87°, intensity 100.0
27.50°, intensity 74.4
38.26°, intensity 66.3
26.09°, intensity 56.2
35.65°, intensity 51.8
27.05°, intensity 45.2
27.22°, intensity 36.8
30.11°, intensity 34.4
36.32°, intensity 29.4
51.18°, intensity 26.7

=====

# TlP2PbBrO
Computed X-ray diffraction stick pattern, Cu Kα. Input: DFT lattice parameters and positions (GGA-PBE).
Kinematic intensities with the Lorentz-polarization factor, no thermal factor.

Crystal structure
```
TlP2PbBrO
1.0
4.954 0.000 0.000
0.000 3.563 0.000
-2.286 0.000 9.046
Tl P Pb Br O
1 2 1 1 1
direct
0.000 0.000 0.000
0.545 0.000 0.272
0.846 0.500 0.262
0.123 0.000 0.529
0.403 0.500 0.797
0.522 0.000 0.439
```

Main lines, in order of falling intensity (2θ = 10–90°):
31.98°, intensity 100.0
23.48°, intensity 83.3
18.47°, intensity 66.1
31.26°, intensity 60.7
34.56°, intensity 58.3
19.63°, intensity 50.1
24.99°, intensity 45.3
30.28°, intensity 45.2
39.66°, intensity 42.3
34.22°, intensity 32.9

=====

# TlP2PbBrO
Computed X-ray diffraction stick pattern, Cu Kα. Input: DFT lattice parameters and positions (GGA-PBE).
Kinematic intensities with the Lorentz-polarization factor, no thermal factor.

Crystal structure
```
TlP2PbBrO
1.0
5.842 -1.787 0.000
5.842 1.787 0.000
-4.986 0.000 7.787
Tl P Pb Br O
1 2 1 1 1
direct
0.000 0.000 0.000
0.210 0.210 0.452
0.731 0.731 0.625
0.931 0.931 0.419
0.327 0.327 0.089
0.586 0.586 0.608
```

Main lines, in order of falling intensity (2θ = 10–90°):
31.82°, intensity 100.0
26.53°, intensity 96.6
18.03°, intensity 91.7
35.07°, intensity 91.6
22.84°, intensity 89.3
30.82°, intensity 88.5
20.05°, intensity 84.0
37.20°, intensity 54.9
11.36°, intensity 41.7
43.39°, intensity 41.4

=====

# RbP2BrO
Computed X-ray diffraction stick pattern, Cu Kα. Input: DFT lattice parameters and positions (GGA-PBE).
Kinematic intensities with the Lorentz-polarization factor, no thermal factor.

Crystal structure
```
RbP2BrO
1.0
5.161 0.000 0.000
0.000 5.161 0.000
0.000 0.000 4.464
Rb P Br O
1 2 1 1
direct
0.000 0.000 0.000
0.000 0.500 0.500
0.500 0.000 0.500
0.500 0.500 0.500
0.500 0.500 0.000
```

Main lines, in order of falling intensity (2θ = 10–90°):
26.40°, intensity 100.0
34.77°, intensity 64.0
44.18°, intensity 49.6
24.39°, intensity 40.1
54.34°, intensity 34.0
40.41°, intensity 22.7
49.99°, intensity 21.4
31.67°, intensity 19.1
66.15°, intensity 18.0
68.89°, intensity 13.5

=====

# ScPBrO4
Computed X-ray diffraction stick pattern, Cu Kα. Input: DFT lattice parameters and positions (GGA-PBE).
Kinematic intensities with the Lorentz-polarization factor, no thermal factor.

Crystal structure
```
ScPBrO4
1.0
5.449 -2.972 0.000
5.449 2.972 0.000
-1.269 0.000 6.128
Sc P Br O
2 2 2 8
direct
0.199 0.199 0.328
0.801 0.801 0.672
0.134 0.134 0.762
0.866 0.866 0.238
0.467 0.467 0.815
0.533 0.533 0.185
0.008 0.008 0.269
0.024 0.616 0.365
0.197 0.197 0.003
0.384 0.976 0.635
0.616 0.024 0.365
0.803 0.803 0.997
0.976 0.384 0.635
0.992 0.992 0.731
```

Main lines, in order of falling intensity (2θ = 10–90°):
29.26°, intensity 100.0
30.07°, intensity 67.0
30.36°, intensity 49.5
29.15°, intensity 36.6
21.31°, intensity 22.6
42.37°, intensity 21.6
59.85°, intensity 21.4
46.12°, intensity 20.5
19.72°, intensity 17.5
53.58°, intensity 14.3

=====

# PaBr2O2
Computed X-ray diffraction stick pattern, Cu Kα. Input: DFT lattice parameters and positions (GGA-PBE).
Kinematic intensities with the Lorentz-polarization factor, no thermal factor.

Crystal structure
```
PaBr2O2
1.0
6.931 -3.243 0.000
6.931 3.243 0.000
-0.678 0.000 5.640
Pa Br O
2 4 4
direct
0.148 0.852 0.750
0.852 0.148 0.250
0.342 0.396 0.397
0.396 0.342 0.897
0.604 0.658 0.103
0.658 0.604 0.603
0.031 0.136 0.983
0.136 0.031 0.483
0.864 0.969 0.517
0.969 0.864 0.017
```

Main lines, in order of falling intensity (2θ = 10–90°):
12.86°, intensity 100.0
23.76°, intensity 64.3
21.29°, intensity 38.4
31.83°, intensity 27.3
22.41°, intensity 26.3
35.20°, intensity 25.8
27.27°, intensity 25.7
34.58°, intensity 23.5
35.82°, intensity 21.7
29.90°, intensity 19.2

=====

# PaSiBrO4
Computed X-ray diffraction stick pattern, Cu Kα. Input: DFT lattice parameters and positions (GGA-PBE).
Kinematic intensities with the Lorentz-polarization factor, no thermal factor.

Crystal structure
```
PaSiBrO4
1.0
5.061 -3.424 0.000
5.061 3.424 0.000
-1.807 0.000 6.418
Pa Si Br O
2 2 2 8
direct
0.248 0.248 0.346
0.752 0.752 0.654
0.136 0.136 0.766
0.864 0.864 0.234
0.483 0.483 0.742
0.517 0.517 0.258
0.009 0.380 0.652
0.031 0.031 0.285
0.203 0.203 0.019
0.380 0.009 0.652
0.620 0.991 0.348
0.797 0.797 0.981
0.969 0.969 0.715
0.991 0.620 0.348
```

Main lines, in order of falling intensity (2θ = 10–90°):
26.02°, intensity 100.0
19.34°, intensity 74.3
13.80°, intensity 64.9
18.21°, intensity 57.0
36.07°, intensity 55.8
30.23°, intensity 52.3
34.30°, intensity 50.8
22.64°, intensity 48.0
42.22°, intensity 35.1
36.91°, intensity 33.9

=====

# Pb3Br2O2
Computed X-ray diffraction stick pattern, Cu Kα. Input: DFT lattice parameters and positions (GGA-PBE).
Kinematic intensities with the Lorentz-polarization factor, no thermal factor.

Crystal structure
```
Pb3Br2O2
1.0
12.530 0.000 0.000
0.000 5.999 0.000
0.000 0.000 10.260
Pb Br O
12 8 8
direct
0.052 0.250 0.216
0.080 0.250 0.571
0.205 0.750 0.358
0.295 0.250 0.858
0.420 0.750 0.071
0.448 0.750 0.716
0.552 0.250 0.284
0.580 0.250 0.929
0.705 0.750 0.142
0.795 0.250 0.642
0.920 0.750 0.429
0.948 0.750 0.784
0.124 0.750 0.082
0.193 0.750 0.694
0.307 0.250 0.194
0.376 0.250 0.582
0.624 0.750 0.418
0.693 0.750 0.806
0.807 0.250 0.306
0.876 0.250 0.918
0.073 0.004 0.388
0.073 0.496 0.388
0.427 0.504 0.888
0.427 0.996 0.888
0.573 0.004 0.112
0.573 0.496 0.112
0.927 0.504 0.612
0.927 0.996 0.612
```

Main lines, in order of falling intensity (2θ = 10–90°):
32.24°, intensity 100.0
30.08°, intensity 95.1
29.79°, intensity 83.8
27.43°, intensity 63.6
11.15°, intensity 53.7
30.93°, intensity 49.0
27.54°, intensity 43.6
41.01°, intensity 43.3
23.90°, intensity 41.3
22.27°, intensity 40.5

=====

# Pb9Br10O4
Computed X-ray diffraction stick pattern, Cu Kα. Input: DFT lattice parameters and positions (GGA-PBE).
Kinematic intensities with the Lorentz-polarization factor, no thermal factor.

Crystal structure
```
Pb9Br10O4
1.0
12.573 0.000 0.000
0.000 12.573 0.000
0.000 0.000 8.664
Pb Br O
18 20 8
direct
0.011 0.826 0.193
0.112 0.802 0.643
0.174 0.511 0.807
0.198 0.612 0.357
0.250 0.250 0.197
0.302 0.888 0.357
0.326 0.989 0.807
0.388 0.698 0.643
0.489 0.674 0.193
0.511 0.326 0.807
0.612 0.302 0.357
0.674 0.011 0.193
0.698 0.112 0.643
0.750 0.750 0.803
0.802 0.388 0.643
0.826 0.489 0.193
0.888 0.198 0.357
0.989 0.174 0.807
0.042 0.374 0.128
0.061 0.372 0.595
0.126 0.042 0.128
0.128 0.061 0.595
0.250 0.250 0.878
0.250 0.750 0.000
0.372 0.439 0.595
0.374 0.458 0.128
0.439 0.128 0.595
0.458 0.126 0.128
0.542 0.874 0.872
0.561 0.872 0.405
0.626 0.542 0.872
0.628 0.561 0.405
0.750 0.250 0.000
0.750 0.750 0.122
0.872 0.939 0.405
0.874 0.958 0.872
0.939 0.628 0.405
0.958 0.626 0.872
0.140 0.794 0.376
0.206 0.640 0.624
0.294 0.860 0.624
0.360 0.706 0.376
0.640 0.294 0.624
0.706 0.140 0.376
0.794 0.360 0.376
0.860 0.206 0.624
```

Main lines, in order of falling intensity (2θ = 10–90°):
25.96°, intensity 100.0
27.57°, intensity 72.6
31.83°, intensity 65.6
29.66°, intensity 65.3
30.52°, intensity 48.3
30.19°, intensity 46.4
45.03°, intensity 45.1
14.27°, intensity 38.1
33.51°, intensity 34.5
36.02°, intensity 33.8

=====

# PbBrO4
Computed X-ray diffraction stick pattern, Cu Kα. Input: DFT lattice parameters and positions (GGA-PBE).
Kinematic intensities with the Lorentz-polarization factor, no thermal factor.

Crystal structure
```
PbBrO4
1.0
5.119 0.000 0.000
0.000 5.431 0.000
-0.816 0.000 5.914
Pb Br O
2 2 8
direct
0.000 0.000 0.000
0.000 0.500 0.500
0.500 0.000 0.500
0.500 0.500 0.000
0.180 0.170 0.341
0.180 0.330 0.841
0.333 0.700 0.400
0.333 0.800 0.900
0.667 0.200 0.100
0.667 0.300 0.600
0.820 0.670 0.159
0.820 0.830 0.659
```

Main lines, in order of falling intensity (2θ = 10–90°):
27.09°, intensity 100.0
29.70°, intensity 71.4
30.22°, intensity 37.2
22.22°, intensity 27.9
49.16°, intensity 27.7
45.34°, intensity 25.2
17.49°, intensity 22.7
32.98°, intensity 22.6
50.20°, intensity 19.1
35.41°, intensity 19.0

=====

# RePb2BrO4
Computed X-ray diffraction stick pattern, Cu Kα. Input: DFT lattice parameters and positions (GGA-PBE).
Kinematic intensities with the Lorentz-polarization factor, no thermal factor.

Crystal structure
```
RePb2BrO4
1.0
5.029 -1.757 0.000
5.029 1.757 0.000
-3.387 0.000 8.689
Re Pb Br O
1 2 1 4
direct
0.000 0.000 0.000
0.180 0.180 0.783
0.820 0.820 0.217
0.500 0.500 0.500
0.135 0.135 0.195
0.399 0.399 0.043
0.601 0.601 0.957
0.865 0.865 0.805
```

Main lines, in order of falling intensity (2θ = 10–90°):
30.25°, intensity 100.0
10.18°, intensity 86.7
38.50°, intensity 45.6
32.81°, intensity 43.8
22.29°, intensity 43.6
29.80°, intensity 31.3
27.11°, intensity 25.4
24.64°, intensity 25.2
38.71°, intensity 25.1
17.95°, intensity 23.6

=====

# Pb3Se2Br2O6
Computed X-ray diffraction stick pattern, Cu Kα. Input: DFT lattice parameters and positions (GGA-PBE).
Kinematic intensities with the Lorentz-polarization factor, no thermal factor.

Crystal structure
```
Pb3Se2Br2O6
1.0
6.807 -2.898 0.000
6.807 2.898 0.000
-1.427 0.000 13.997
Pb Se Br O
6 4 4 12
direct
0.072 0.928 0.750
0.264 0.322 0.148
0.322 0.264 0.648
0.678 0.736 0.352
0.736 0.678 0.852
0.928 0.072 0.250
0.393 0.407 0.377
0.407 0.393 0.877
0.593 0.607 0.123
0.607 0.593 0.623
0.137 0.163 0.938
0.163 0.137 0.438
0.837 0.863 0.562
0.863 0.837 0.062
0.128 0.561 0.804
0.130 0.603 0.300
0.397 0.870 0.200
0.424 0.536 0.638
0.439 0.872 0.696
0.464 0.576 0.862
0.536 0.424 0.138
0.561 0.128 0.304
0.576 0.464 0.362
0.603 0.130 0.800
0.870 0.397 0.700
0.872 0.439 0.196
```

Main lines, in order of falling intensity (2θ = 10–90°):
27.17°, intensity 100.0
31.13°, intensity 62.5
30.47°, intensity 33.9
30.85°, intensity 33.2
12.65°, intensity 28.8
43.92°, intensity 26.3
25.00°, intensity 20.9
49.67°, intensity 17.8
41.64°, intensity 17.2
21.36°, intensity 16.5